The following is a theoretical X-ray powder pattern of SmN. It was derived from a crystal structure in Alexandria, relaxed with PBE, using a wavelength of 1.5418 Å.
Kinematic intensities with the Lorentz-polarization factor, no thermal factor.

The 6 most intense peaks (10° ≤ 2θ ≤ 80°), low angle first:
2θ (°)  d/Å  I_rel
30.5  2.930  100
35.4  2.537  74
50.9  1.794  51
60.5  1.530  45
63.5  1.465  17
74.8  1.269  8

Structure:
Unit cell a=5.0745 b=5.0745 c=5.0745 alpha=90.00 beta=90.00 gamma=90.00
Fractional positions:
Sm: 0.0000 0.0000 0.0000
Sm: 0.0000 0.5000 0.5000
Sm: 0.5000 0.0000 0.5000
Sm: 0.5000 0.5000 0.0000
N: 0.0000 0.0000 0.5000
N: 0.0000 0.5000 0.0000
N: 0.5000 0.0000 0.0000
N: 0.5000 0.5000 0.5000